For La2IrRhO6, a cell relaxed with PBE gives the computed PXRD pattern in this record (λ = 1.5418 Å (Cu Kα)).

Atomic structure:
```
data_La2IrRhO6
_cell_length_a 10.7598
_cell_length_b 5.4892
_cell_length_c 4.8471
_cell_angle_alpha 90.00
_cell_angle_beta 108.22
_cell_angle_gamma 90.00
_space_group_name_H-M_alt 'C 1 2/m 1'
_space_group_IT_number 12
loop_
_space_group_symop_operation_xyz
'x,y,z'
'-x,-y,-z'
'-x,y,-z'
'x,-y,z'
'x+1/2,y+1/2,z'
'-x+1/2,-y+1/2,-z'
'-x+1/2,y+1/2,-z'
'x+1/2,-y+1/2,z'
loop_
_atom_site_label
_atom_site_type_symbol
_atom_site_fract_x
_atom_site_fract_y
_atom_site_fract_z
La1 La 0.2307 0.0000 0.2157
Ir1 Ir 0.0000 0.5000 0.0000
Rh1 Rh 0.0000 0.0000 0.5000
O1 O 0.0792 0.2481 0.8081
O2 O 0.1923 0.5000 0.2765
```

Principal peaks in the range 10 to 90 degrees two-theta, most intense first:
Position (°2θ)  I (rel.)
28.7  1000
31.8  875
32.6  380
50.5  312
35.1  288
48.7  276
37.5  243
55.8  162
57.7  160
57.2  158
48.2  135
59.4  132

***

For PaAg2TeO8, a cell relaxed with PBE gives the computed PXRD pattern in this record (λ = 1.5418 Å (Cu Kα)).

Atomic structure:
```
data_PaAg2TeO8
_cell_length_a 5.6645
_cell_length_b 5.6645
_cell_length_c 6.0175
_cell_angle_alpha 90.00
_cell_angle_beta 90.00
_cell_angle_gamma 120.00
_space_group_name_H-M_alt 'P -3 m 1'
_space_group_IT_number 164
_space_group_name_Hall '-P 3 2"'
loop_
_atom_site_label
_atom_site_type_symbol
_atom_site_fract_x
_atom_site_fract_y
_atom_site_fract_z
Pa1 Pa 0.0000 0.0000 0.0000
Ag1 Ag 0.3333 0.6667 0.4103
Te1 Te 0.0000 0.0000 0.5000
O1 O 0.1530 0.3060 0.7081
O2 O 0.3333 0.6667 0.0704
```

Principal peaks in the range 10 to 90 degrees two-theta, most intense first:
Position (°2θ)  I (rel.)
31.6  1000
18.1  706
43.9  585
23.4  486
35.0  430
64.9  337
47.8  277
39.7  245
58.5  228
56.3  206
49.1  199
73.9  174

***

For Pr8Nd4Dy, a cell relaxed with PBE gives the computed PXRD pattern in this record (λ = 1.5418 Å (Cu Kα)).

Atomic structure:
```
data_Pr8Nd4Dy
_cell_length_a 11.9594
_cell_length_b 11.9594
_cell_length_c 11.8413
_cell_angle_alpha 90.00
_cell_angle_beta 90.00
_cell_angle_gamma 120.00
_space_group_name_H-M_alt 'R -3 m'
_space_group_IT_number 166
_space_group_name_Hall '-R 3 2"'
loop_
_atom_site_label
_atom_site_type_symbol
_atom_site_fract_x
_atom_site_fract_y
_atom_site_fract_z
Pr1 Pr 0.0000 0.0000 0.2429
Pr2 Pr 0.0010 0.5005 0.6680
Nd1 Nd 0.0000 0.0000 0.0000
Nd2 Nd 0.0000 0.5000 0.0000
Dy1 Dy 0.0000 0.0000 0.5000
```

Principal peaks in the range 10 to 90 degrees two-theta, most intense first:
Position (°2θ)  I (rel.)
29.9  1000
37.7  462
22.5  293
53.1  200
27.1  170
55.8  170
58.3  130
62.1  124
86.0  102
38.1  95
34.5  90
66.9  85

***

For NpBiRuO6, a cell relaxed with PBE gives the computed PXRD pattern in this record (λ = 1.5418 Å (Cu Kα)).

Atomic structure:
```
data_NpBiRuO6
_cell_length_a 5.2684
_cell_length_b 5.2684
_cell_length_c 10.6347
_cell_angle_alpha 90.00
_cell_angle_beta 90.00
_cell_angle_gamma 120.00
_space_group_name_H-M_alt 'P -3 1 c'
_space_group_IT_number 163
_space_group_name_Hall '-P 3 2c'
loop_
_atom_site_label
_atom_site_type_symbol
_atom_site_fract_x
_atom_site_fract_y
_atom_site_fract_z
Np1 Np 0.3333 0.6667 0.2500
Bi1 Bi 0.0000 0.0000 0.0000
Ru1 Ru 0.3333 0.6667 0.7500
O1 O 0.0076 0.3565 0.6392
```

Principal peaks in the range 10 to 90 degrees two-theta, most intense first:
Position (°2θ)  I (rel.)
25.7  1000
48.7  441
34.0  422
43.2  253
56.1  241
60.9  127
21.2  125
55.6  121
33.7  119
81.6  98
77.2  97
77.5  97

***

For Na2ScPbS4, a cell relaxed with PBE gives the computed PXRD pattern in this record (λ = 1.5418 Å (Cu Kα)).

Atomic structure:
```
data_Na2ScPbS4
_cell_length_a 6.8543
_cell_length_b 3.8847
_cell_length_c 7.0786
_cell_angle_alpha 90.00
_cell_angle_beta 108.56
_cell_angle_gamma 90.00
_space_group_name_H-M_alt 'P 1 2/m 1'
_space_group_IT_number 10
loop_
_space_group_symop_operation_xyz
'x,y,z'
'-x,-y,-z'
'-x,y,-z'
'x,-y,z'
loop_
_atom_site_label
_atom_site_type_symbol
_atom_site_fract_x
_atom_site_fract_y
_atom_site_fract_z
Na1 Na 0.0000 0.0000 0.0000
Na2 Na 0.5000 0.5000 0.0000
Sc1 Sc 0.0000 0.5000 0.5000
Pb1 Pb 0.5000 0.0000 0.5000
S1 S 0.2232 0.0000 0.7189
S2 S 0.2331 0.5000 0.2707
```

Principal peaks in the range 10 to 90 degrees two-theta, most intense first:
Position (°2θ)  I (rel.)
13.2  1000
31.9  928
31.7  466
45.0  329
13.6  326
26.5  324
15.7  315
46.1  311
26.7  301
41.1  232
46.8  196
27.9  190

***

For ScPd6Au, a cell relaxed with PBE gives the computed PXRD pattern in this record (λ = 1.5418 Å (Cu Kα)).

Atomic structure:
```
data_ScPd6Au
_cell_length_a 5.6499
_cell_length_b 5.6499
_cell_length_c 4.0282
_cell_angle_alpha 90.00
_cell_angle_beta 90.00
_cell_angle_gamma 90.00
_space_group_name_H-M_alt 'P 4/m m m'
_space_group_IT_number 123
_space_group_name_Hall '-P 4 2'
loop_
_atom_site_label
_atom_site_type_symbol
_atom_site_fract_x
_atom_site_fract_y
_atom_site_fract_z
Sc1 Sc 0.0000 0.0000 0.0000
Pd1 Pd 0.0000 0.5000 0.0000
Pd2 Pd 0.2483 0.2483 0.5000
Au1 Au 0.5000 0.5000 0.0000
```

Principal peaks in the range 10 to 90 degrees two-theta, most intense first:
Position (°2θ)  I (rel.)
38.9  1000
45.4  321
79.5  242
65.9  208
45.0  165
78.9  123
15.7  119
83.6  107
66.2  102
27.2  79
42.2  46
35.5  41

***

For Rb5HgAs2, a cell relaxed with PBE gives the computed PXRD pattern in this record (λ = 1.5418 Å (Cu Kα)).

Atomic structure:
```
data_Rb5HgAs2
_cell_length_a 5.9632
_cell_length_b 5.9632
_cell_length_c 40.6425
_cell_angle_alpha 90.00
_cell_angle_beta 90.00
_cell_angle_gamma 120.00
_space_group_name_H-M_alt 'R -3 m'
_space_group_IT_number 166
_space_group_name_Hall '-R 3 2"'
loop_
_atom_site_label
_atom_site_type_symbol
_atom_site_fract_x
_atom_site_fract_y
_atom_site_fract_z
Rb1 Rb 0.0000 0.0000 0.0000
Rb2 Rb 0.0000 0.0000 0.1305
Rb3 Rb 0.0000 0.0000 0.2552
Hg1 Hg 0.0000 0.0000 0.5000
As1 As 0.0000 0.0000 0.4371
```

Principal peaks in the range 10 to 90 degrees two-theta, most intense first:
Position (°2θ)  I (rel.)
30.0  1000
24.6  574
39.5  412
19.3  377
30.7  251
17.7  247
59.7  243
50.4  203
53.2  196
39.1  169
50.1  165
23.0  157

***

For Sr2GaCu3Sn4, a cell relaxed with PBE gives the computed PXRD pattern in this record (λ = 1.5418 Å (Cu Kα)).

Atomic structure:
```
data_Sr2GaCu3Sn4
_cell_length_a 4.5614
_cell_length_b 4.5614
_cell_length_c 11.2663
_cell_angle_alpha 90.00
_cell_angle_beta 90.00
_cell_angle_gamma 90.00
_space_group_name_H-M_alt 'P -4 m 2'
_space_group_IT_number 115
loop_
_space_group_symop_operation_xyz
'x,y,z'
'y,-x,-z'
'-x,-y,z'
'-y,x,-z'
'-x,y,z'
'-y,-x,-z'
'x,-y,z'
'y,x,-z'
loop_
_atom_site_label
_atom_site_type_symbol
_atom_site_fract_x
_atom_site_fract_y
_atom_site_fract_z
Sr1 Sr 0.0000 0.5000 0.2475
Ga1 Ga 0.5000 0.5000 0.0000
Cu1 Cu 0.0000 0.0000 0.0000
Cu2 Cu 0.0000 0.5000 0.6324
Sn1 Sn 0.0000 0.0000 0.5000
Sn2 Sn 0.0000 0.5000 0.8629
Sn3 Sn 0.5000 0.5000 0.5000
```

Principal peaks in the range 10 to 90 degrees two-theta, most intense first:
Position (°2θ)  I (rel.)
32.0  1000
39.5  670
30.8  443
42.6  407
44.9  279
67.0  237
57.1  227
61.3  219
50.9  214
80.1  210
73.8  161
66.4  112

***

For PmPrBeN2, a cell relaxed with PBE gives the computed PXRD pattern in this record (λ = 1.5418 Å (Cu Kα)).

Atomic structure:
```
data_PmPrBeN2
_cell_length_a 5.1224
_cell_length_b 5.2045
_cell_length_c 6.8507
_cell_angle_alpha 90.00
_cell_angle_beta 90.00
_cell_angle_gamma 90.00
_space_group_name_H-M_alt 'P c c m'
_space_group_IT_number 49
loop_
_space_group_symop_operation_xyz
'x,y,z'
'-x,-y,-z'
'-x,-y,z'
'x,y,-z'
'x,-y,-z+1/2'
'-x,y,z+1/2'
'-x,y,-z+1/2'
'x,-y,z+1/2'
loop_
_atom_site_label
_atom_site_type_symbol
_atom_site_fract_x
_atom_site_fract_y
_atom_site_fract_z
Pm1 Pm 0.0000 0.0000 0.2500
Pr1 Pr 0.5000 0.5000 0.2500
Be1 Be 0.5000 0.0000 0.0000
N1 N 0.2805 0.2077 0.0000
```

Principal peaks in the range 10 to 90 degrees two-theta, most intense first:
Position (°2θ)  I (rel.)
24.4  1000
36.0  815
26.0  344
43.7  249
44.2  244
34.5  192
35.0  181
50.0  178
57.2  172
59.6  170
62.7  156
63.4  151

***

For Pa2TeF, a cell relaxed with PBE gives the computed PXRD pattern in this record (λ = 1.5418 Å (Cu Kα)).

Atomic structure:
```
data_Pa2TeF
_cell_length_a 3.5748
_cell_length_b 3.5748
_cell_length_c 27.7855
_cell_angle_alpha 90.00
_cell_angle_beta 90.00
_cell_angle_gamma 120.00
_space_group_name_H-M_alt 'R -3 m'
_space_group_IT_number 166
_space_group_name_Hall '-R 3 2"'
loop_
_atom_site_label
_atom_site_type_symbol
_atom_site_fract_x
_atom_site_fract_y
_atom_site_fract_z
Pa1 Pa 0.0000 0.0000 0.0823
Te1 Te 0.0000 0.0000 0.5000
F1 F 0.0000 0.0000 0.0000
```

Principal peaks in the range 10 to 90 degrees two-theta, most intense first:
Position (°2θ)  I (rel.)
33.1  1000
36.8  810
29.6  796
29.0  490
19.2  487
51.1  445
66.0  420
38.9  350
43.8  232
55.1  202
62.3  170
64.6  164